Cs3UI7: simulated powder XRD pattern (a wavelength of 1.5418 Å), based on a PBE-relaxed structure.
Lines closer than 0.1° are merged.

Main lines, by angle (2θ = 15–90°):
4.871 Å, rel. 29.7
4.735 Å, rel. 75.3
3.298 Å, rel. 55.1
3.255 Å, rel. 41.5
3.099 Å, rel. 38.9
2.987 Å, rel. 100.0
2.975 Å, rel. 32.2
2.760 Å, rel. 27.1
2.656 Å, rel. 35.3
2.516 Å, rel. 28.4

Crystal structure
Lattice parameters (Å, degrees): 8.909 8.909 9.873 117.24 117.24 84.17
Atoms (fractional coordinates):
Cs 0.000 0.000 0.000
Cs 0.265 0.708 0.410
Cs 0.708 0.265 0.410
U 0.440 0.440 0.859
I 0.133 0.617 0.696
I 0.146 0.146 0.492
I 0.292 0.292 0.005
I 0.466 0.790 0.164
I 0.617 0.133 0.696
I 0.627 0.627 0.772
I 0.790 0.466 0.164



Cs3V2I9: simulated powder XRD pattern (a wavelength of 1.5418 Å), based on a PBE-relaxed structure.
Lines closer than 0.1° are merged.

Main lines, by angle (2θ = 15–90°):
3.597 Å, rel. 22.9
3.540 Å, rel. 17.3
3.177 Å, rel. 100.0
2.523 Å, rel. 19.9
2.044 Å, rel. 22.1
1.985 Å, rel. 17.1
1.777 Å, rel. 17.4
1.719 Å, rel. 15.7
1.316 Å, rel. 12.4
1.169 Å, rel. 5.6

Crystal structure
Lattice parameters (Å, degrees): 10.891 10.891 10.891 81.11 81.11 81.11
Atoms (fractional coordinates):
Cs 0.090 0.750 0.410
Cs 0.250 0.590 0.910
Cs 0.410 0.090 0.750
Cs 0.590 0.910 0.250
Cs 0.750 0.410 0.090
Cs 0.910 0.250 0.590
V 0.170 0.170 0.170
V 0.330 0.330 0.330
V 0.670 0.670 0.670
V 0.830 0.830 0.830
I 0.061 0.901 0.737
I 0.093 0.407 0.250
I 0.099 0.263 0.939
I 0.237 0.401 0.561
I 0.250 0.093 0.407
I 0.263 0.939 0.099
I 0.401 0.561 0.237
I 0.407 0.250 0.093
I 0.439 0.763 0.599
I 0.561 0.237 0.401
I 0.593 0.750 0.907
I 0.599 0.439 0.763
I 0.737 0.061 0.901
I 0.750 0.907 0.593
I 0.763 0.599 0.439
I 0.901 0.737 0.061
I 0.907 0.593 0.750
I 0.939 0.099 0.263



Cs2VI5: simulated powder XRD pattern (a wavelength of 1.5418 Å), based on a PBE-relaxed structure.
Lines closer than 0.1° are merged.

Main lines, by angle (2θ = 15–90°):
3.354 Å, rel. 100.0
2.945 Å, rel. 43.9
2.828 Å, rel. 20.3
2.082 Å, rel. 15.6
2.040 Å, rel. 30.2
1.769 Å, rel. 29.2
1.718 Å, rel. 14.3
1.677 Å, rel. 15.6
1.325 Å, rel. 11.3
1.194 Å, rel. 9.3

Crystal structure
Lattice parameters (Å, degrees): 8.329 8.329 5.656 90.00 90.00 90.00
Atoms (fractional coordinates):
Cs 0.000 0.500 0.000
Cs 0.500 0.000 0.000
V 0.000 0.000 0.500
I 0.000 0.000 0.000
I 0.236 0.236 0.500
I 0.236 0.764 0.500
I 0.764 0.236 0.500
I 0.764 0.764 0.500



Cs3YI8: simulated powder XRD pattern (a wavelength of 1.5418 Å), based on a PBE-relaxed structure.
Lines closer than 0.1° are merged.

Main lines, by angle (2θ = 15–90°):
5.018 Å, rel. 47.6
4.322 Å, rel. 12.8
3.081 Å, rel. 100.0
3.056 Å, rel. 49.0
2.843 Å, rel. 12.5
2.610 Å, rel. 15.2
2.161 Å, rel. 13.6
1.981 Å, rel. 10.9
1.784 Å, rel. 11.9
1.769 Å, rel. 23.4

Crystal structure
Lattice parameters (Å, degrees): 10.703 10.703 10.703 132.36 132.36 69.66
Atoms (fractional coordinates):
Cs 0.000 0.000 0.000
Cs 0.250 0.750 0.500
Cs 0.750 0.250 0.500
Y 0.500 0.500 0.000
I 0.177 0.177 0.569
I 0.177 0.608 0.000
I 0.392 0.392 0.569
I 0.392 0.823 0.000
I 0.608 0.177 0.000
I 0.608 0.608 0.431
I 0.823 0.392 0.000
I 0.823 0.823 0.431



Cs6Y3I14: simulated powder XRD pattern (a wavelength of 1.5418 Å), based on a PBE-relaxed structure.
Lines closer than 0.1° are merged.

Main lines, by angle (2θ = 15–90°):
3.923 Å, rel. 97.9
3.634 Å, rel. 56.4
3.567 Å, rel. 100.0
3.359 Å, rel. 53.3
3.224 Å, rel. 50.1
3.073 Å, rel. 79.1
2.928 Å, rel. 37.5
2.221 Å, rel. 38.9
2.172 Å, rel. 29.2
1.729 Å, rel. 31.7

Crystal structure
Lattice parameters (Å, degrees): 13.983 13.983 7.619 90.00 90.00 120.00
Atoms (fractional coordinates):
Cs 0.028 0.568 0.000
Cs 0.308 0.102 0.488
Cs 0.432 0.459 0.000
Cs 0.541 0.972 0.000
Cs 0.794 0.692 0.488
Cs 0.898 0.206 0.488
Y 0.000 0.000 0.907
Y 0.333 0.667 0.419
Y 0.667 0.333 0.758
I 0.000 0.000 0.292
I 0.078 0.854 0.777
I 0.146 0.224 0.777
I 0.185 0.443 0.286
I 0.258 0.815 0.286
I 0.333 0.667 0.804
I 0.457 0.197 0.980
I 0.532 0.407 0.533
I 0.557 0.742 0.286
I 0.593 0.124 0.533
I 0.739 0.543 0.980
I 0.776 0.922 0.777
I 0.803 0.261 0.980
I 0.876 0.468 0.533



CsZr2I8: simulated powder XRD pattern (a wavelength of 1.5418 Å), based on a PBE-relaxed structure.
Lines closer than 0.1° are merged.

Main lines, by angle (2θ = 15–90°):
5.506 Å, rel. 36.8
4.970 Å, rel. 31.0
4.768 Å, rel. 40.7
3.689 Å, rel. 100.0
2.788 Å, rel. 32.7
2.753 Å, rel. 69.0
2.485 Å, rel. 35.9
2.000 Å, rel. 29.9
1.959 Å, rel. 21.6
1.749 Å, rel. 20.9

Crystal structure
Lattice parameters (Å, degrees): 11.011 11.011 5.823 90.00 90.00 120.00
Atoms (fractional coordinates):
Cs 0.000 0.000 0.000
Zr 0.333 0.667 0.268
Zr 0.667 0.333 0.732
I 0.187 0.376 0.274
I 0.189 0.813 0.274
I 0.333 0.667 0.770
I 0.376 0.189 0.726
I 0.624 0.811 0.274
I 0.667 0.333 0.230
I 0.811 0.187 0.726
I 0.813 0.624 0.726



CsZrI3: simulated powder XRD pattern (a wavelength of 1.5418 Å), based on a PBE-relaxed structure.
Lines closer than 0.1° are merged.

Main lines, by angle (2θ = 15–90°):
3.883 Å, rel. 24.2
3.285 Å, rel. 27.7
3.196 Å, rel. 100.0
3.181 Å, rel. 28.9
3.000 Å, rel. 50.0
2.755 Å, rel. 21.0
2.682 Å, rel. 22.8
2.255 Å, rel. 28.1
2.125 Å, rel. 30.2
1.879 Å, rel. 21.9

Crystal structure
Lattice parameters (Å, degrees): 9.896 9.896 9.896 141.23 75.09 118.53
Atoms (fractional coordinates):
Cs 0.250 0.000 0.250
Cs 0.750 0.000 0.750
Zr 0.245 0.023 0.778
Zr 0.245 0.467 0.222
I 0.224 0.370 0.854
I 0.266 0.629 0.637
I 0.487 0.987 0.500
I 0.515 0.370 0.146
I 0.987 0.987 0.000
I 0.992 0.629 0.363



CsZr6I14: simulated powder XRD pattern (a wavelength of 1.5418 Å), based on a PBE-relaxed structure.
Lines closer than 0.1° are merged.

Main lines, by angle (2θ = 15–90°):
3.458 Å, rel. 32.2
3.333 Å, rel. 100.0
3.154 Å, rel. 79.1
2.789 Å, rel. 74.9
2.166 Å, rel. 27.2
2.023 Å, rel. 26.6
1.925 Å, rel. 19.6
1.889 Å, rel. 18.4
1.816 Å, rel. 18.0
1.729 Å, rel. 29.4

Crystal structure
Lattice parameters (Å, degrees): 11.163 11.163 13.341 90.00 90.00 87.11
Atoms (fractional coordinates):
Cs 0.000 0.000 0.000
Cs 0.500 0.500 0.500
Zr 0.050 0.177 0.616
Zr 0.105 0.895 0.577
Zr 0.177 0.050 0.384
Zr 0.323 0.450 0.884
Zr 0.395 0.605 0.077
Zr 0.450 0.323 0.116
Zr 0.550 0.677 0.884
Zr 0.605 0.395 0.923
Zr 0.677 0.550 0.116
Zr 0.823 0.950 0.616
Zr 0.895 0.105 0.423
Zr 0.950 0.823 0.384
I 0.032 0.210 0.260
I 0.104 0.653 0.492
I 0.108 0.392 0.750
I 0.148 0.852 0.240
I 0.153 0.604 0.992
I 0.210 0.032 0.740
I 0.245 0.245 0.000
I 0.255 0.255 0.500
I 0.290 0.468 0.240
I 0.347 0.896 0.492
I 0.352 0.648 0.740
I 0.392 0.108 0.250
I 0.396 0.847 0.992
I 0.468 0.290 0.760
I 0.532 0.710 0.240
I 0.604 0.153 0.008
I 0.608 0.892 0.750
I 0.648 0.352 0.260
I 0.653 0.104 0.508
I 0.710 0.532 0.760
I 0.745 0.745 0.500
I 0.755 0.755 0.000
I 0.790 0.968 0.260
I 0.847 0.396 0.008
I 0.852 0.148 0.760
I 0.892 0.608 0.250
I 0.896 0.347 0.508
I 0.968 0.790 0.740



Cs3In11: simulated powder XRD pattern (a wavelength of 1.5418 Å), based on a PBE-relaxed structure.
Lines closer than 0.1° are merged.

Main lines, by angle (2θ = 15–90°):
3.350 Å, rel. 100.0
3.170 Å, rel. 99.4
3.108 Å, rel. 54.6
3.039 Å, rel. 96.8
2.889 Å, rel. 65.7
2.732 Å, rel. 58.1
2.581 Å, rel. 96.7
2.457 Å, rel. 49.1
2.002 Å, rel. 57.5
1.971 Å, rel. 50.0

Crystal structure
Lattice parameters (Å, degrees): 10.125 10.125 10.125 150.46 98.57 88.91
Atoms (fractional coordinates):
Cs 0.000 0.000 0.000
Cs 0.279 0.279 0.000
Cs 0.721 0.721 0.000
In 0.011 0.338 0.673
In 0.168 0.875 0.293
In 0.336 0.662 0.673
In 0.343 0.500 0.843
In 0.419 0.125 0.293
In 0.500 0.000 0.500
In 0.581 0.875 0.707
In 0.657 0.500 0.157
In 0.664 0.338 0.327
In 0.832 0.125 0.707
In 0.989 0.662 0.327



Cs12In: simulated powder XRD pattern (a wavelength of 1.5418 Å), based on a PBE-relaxed structure.
Lines closer than 0.1° are merged.

Main lines, by angle (2θ = 15–90°):
4.867 Å, rel. 16.5
4.353 Å, rel. 100.0
3.974 Å, rel. 35.1
3.679 Å, rel. 91.3
3.078 Å, rel. 15.4
2.361 Å, rel. 60.6
2.294 Å, rel. 15.8
2.233 Å, rel. 39.9
1.947 Å, rel. 19.7
1.645 Å, rel. 17.7

Crystal structure
Lattice parameters (Å, degrees): 11.922 11.922 11.922 109.47 109.47 109.47
Atoms (fractional coordinates):
Cs 0.128 0.828 0.300
Cs 0.172 0.300 0.472
Cs 0.172 0.700 0.872
Cs 0.300 0.128 0.828
Cs 0.300 0.472 0.172
Cs 0.472 0.172 0.300
Cs 0.528 0.828 0.700
Cs 0.700 0.528 0.828
Cs 0.700 0.872 0.172
Cs 0.828 0.300 0.128
Cs 0.828 0.700 0.528
Cs 0.872 0.172 0.700
In 0.000 0.000 0.000



CsIn7: simulated powder XRD pattern (a wavelength of 1.5418 Å), based on a PBE-relaxed structure.
Lines closer than 0.1° are merged.

Main lines, by angle (2θ = 15–90°):
3.790 Å, rel. 33.7
3.633 Å, rel. 11.2
2.795 Å, rel. 100.0
2.526 Å, rel. 13.3
2.356 Å, rel. 14.8
2.188 Å, rel. 18.3
2.070 Å, rel. 11.8
1.602 Å, rel. 14.6
1.504 Å, rel. 10.8
1.354 Å, rel. 10.2

Crystal structure
Lattice parameters (Å, degrees): 8.752 8.752 4.139 90.00 90.00 120.00
Atoms (fractional coordinates):
Cs 0.000 0.000 0.000
In 0.031 0.516 0.000
In 0.333 0.667 0.500
In 0.428 0.214 0.500
In 0.484 0.516 0.000
In 0.484 0.969 0.000
In 0.786 0.214 0.500
In 0.786 0.572 0.500



CsIn: simulated powder XRD pattern (a wavelength of 1.5418 Å), based on a PBE-relaxed structure.
Lines closer than 0.1° are merged.

Main lines, by angle (2θ = 15–90°):
5.734 Å, rel. 26.4
4.054 Å, rel. 55.8
3.310 Å, rel. 23.0
3.065 Å, rel. 100.0
2.703 Å, rel. 71.8
2.341 Å, rel. 22.0
1.967 Å, rel. 25.0
1.860 Å, rel. 41.8
1.622 Å, rel. 28.3
1.333 Å, rel. 21.1

Crystal structure
Lattice parameters (Å, degrees): 9.931 9.931 9.931 109.47 109.47 109.47
Atoms (fractional coordinates):
Cs 0.000 0.000 0.416
Cs 0.000 0.416 0.000
Cs 0.416 0.000 0.000
Cs 0.584 0.584 0.584
In 0.000 0.000 0.806
In 0.000 0.806 0.000
In 0.194 0.194 0.194
In 0.806 0.000 0.000